[1]
Computed powder XRD pattern
Compound: CaAc4Pr7
Radiation: CuKα
Structure: a structure optimized by DFT (PBE)
Kinematic intensities with the Lorentz-polarization factor, no thermal factor.

```
CaAc4Pr7
1.0
6.676 0.000 0.000
-0.014 7.634 0.000
-2.221 -0.034 9.318
Ca Ac Pr
1 4 7
direct
0.000 0.000 0.000 Ca
0.222 0.497 0.674 Ac
0.285 0.247 0.331 Ac
0.715 0.753 0.669 Ac
0.778 0.503 0.326 Ac
0.000 0.500 0.000 Pr
0.222 0.999 0.663 Pr
0.282 0.749 0.330 Pr
0.495 0.749 0.003 Pr
0.505 0.251 0.997 Pr
0.718 0.251 0.670 Pr
0.778 0.001 0.337 Pr
```

Most intense lines, 10° ≤ 2θ ≤ 90°, low angle first:
| 2θ/deg | intensity |
| --- | --- |
| 27.1 | 35.2 |
| 27.7 | 48.9 |
| 28.7 | 98.8 |
| 29.7 | 67.3 |
| 29.8 | 61.4 |
| 29.9 | 61.1 |
| 31.2 | 58.4 |
| 31.4 | 100.0 |
| 47.3 | 50.9 |
| 50.5 | 31.8 |

***

[2]
Computed powder XRD pattern
Compound: RbLiCu2H3S2O10
Radiation: CuKα
Structure: a structure optimized by DFT (PBE)
Kinematic intensities with the Lorentz-polarization factor, no thermal factor.

```
RbLiCu2H3S2O10
1.0
5.588 0.000 0.000
2.649 5.667 0.000
1.222 2.457 7.332
Rb Li Cu H S O
1 1 2 3 2 10
direct
0.000 0.000 0.000 Rb
0.690 0.639 0.760 Li
0.016 0.022 0.483 Cu
0.144 0.472 0.424 Cu
0.321 0.169 0.263 H
0.543 0.034 0.502 H
0.621 0.102 0.661 H
0.286 0.481 0.793 S
0.647 0.572 0.205 S
0.096 0.442 0.699 O
0.235 0.754 0.723 O
0.246 0.395 0.990 O
0.294 0.138 0.395 O
0.374 0.655 0.286 O
0.565 0.346 0.739 O
0.629 0.686 0.004 O
0.688 0.973 0.598 O
0.772 0.294 0.254 O
0.803 0.663 0.279 O
```

Most intense lines, 10° ≤ 2θ ≤ 90°, low angle first:
| 2θ/deg | intensity |
| --- | --- |
| 17.5 | 81.0 |
| 18.7 | 31.5 |
| 24.7 | 100.0 |
| 25.1 | 43.7 |
| 28.6 | 41.2 |
| 30.0 | 85.9 |
| 30.8 | 54.5 |
| 32.0 | 60.1 |
| 32.5 | 34.5 |
| 33.3 | 42.4 |

***

[3]
Computed powder XRD pattern
Compound: Li2ZnGaPd
Radiation: CuKα
Structure: a structure optimized by DFT (PBE)
Kinematic intensities with the Lorentz-polarization factor, no thermal factor.

```
Li2ZnGaPd
1.0
2.029 -4.542 0.000
2.029 4.542 0.000
0.000 0.000 8.023
Li Zn Ga Pd
4 2 2 2
direct
0.200 0.800 0.567 Li
0.200 0.800 0.933 Li
0.800 0.200 0.067 Li
0.800 0.200 0.433 Li
0.341 0.659 0.250 Zn
0.659 0.341 0.750 Zn
0.500 0.500 0.000 Ga
0.500 0.500 0.500 Ga
0.058 0.942 0.250 Pd
0.942 0.058 0.750 Pd
```

Most intense lines, 10° ≤ 2θ ≤ 90°, low angle first:
| 2θ/deg | intensity |
| --- | --- |
| 19.5 | 69.5 |
| 22.2 | 37.6 |
| 26.5 | 86.5 |
| 32.9 | 98.4 |
| 38.8 | 41.6 |
| 41.3 | 39.6 |
| 41.6 | 33.0 |
| 43.6 | 100.0 |
| 44.7 | 40.3 |
| 45.2 | 35.6 |